For YAl4GaIr, DFT lattice parameters and positions (GGA-PBE) gives the simulated XRD peak list in this record (a wavelength of 1.5418 Å).

Structure:
Cell lengths 4.2902, 4.2902, 6.9331 Å; angles 90.00, 90.00, 90.00 degrees
Fractional positions:
Y 0.0000 0.0000 0.0000
Al 0.0000 0.5000 0.3049
Al 0.0000 0.5000 0.6951
Al 0.5000 0.0000 0.3049
Al 0.5000 0.0000 0.6951
Ga 0.5000 0.5000 0.0000
Ir 0.0000 0.0000 0.5000

Main lines, by intensity (2θ = 10–90°):
(hkl)	two_theta	d (Å)	I_rel
1 1 2	39.47	2.283	100
1 0 0	20.70	4.290	59
1 0 1	24.40	3.648	53
2 0 0	42.12	2.145	46
1 0 2	33.23	2.696	36
1 1 0	29.44	3.034	34
3 1 2	75.21	1.263	30
0 0 2	25.70	3.467	29
2 0 2	50.00	1.824	20
2 1 2	54.68	1.679	18